Computed powder diffractogram
Compound: EuZn2Si2
Radiation: Cu Kα (weighted mean of Kα1 and Kα2)
Structure: a PBE-relaxed structure
No peak broadening, texture or thermal motion is included.

Cell and atoms:
```
EuZn2Si2
1.0
-2.1316 2.1316 5.1308
2.1316 -2.1316 5.1308
2.1316 2.1316 -5.1308
Eu Zn Si
1 2 2
direct
0.0000 0.0000 0.0000
0.2500 0.7500 0.5000
0.7500 0.2500 0.5000
0.3841 0.3841 0.0000
0.6159 0.6159 0.0000
```

Top 10 peaks for 5 to 70 degrees two-theta, in order of falling intensity:
| Position (°2θ) | I_rel |
| --- | --- |
| 34.51 | 100 |
| 33.59 | 41 |
| 42.40 | 38 |
| 22.58 | 36 |
| 55.15 | 19 |
| 49.28 | 16 |
| 56.10 | 15 |
| 34.98 | 15 |
| 62.43 | 14 |
| 66.99 | 13 |